The following is a computed PXRD pattern of GaSbRh4. It was derived from a cell relaxed with GGA-PBE, using Cu Kα X-rays.
Peak positions follow from Bragg's law for the DFT cell and can differ from measured ones.

Atomic structure:
```
data_GaSbRh4
_chemical_formula_sum 'Ga2 Sb2 Rh8'
_symmetry_space_group_name_H-M 'P m n a'
_symmetry_Int_Tables_number 53
_symmetry_space_group_name_Hall '-P 2ac 2'
_cell_length_a 4.5343
_cell_length_b 7.9728
_cell_length_c 5.3142
_cell_angle_alpha 90.00
_cell_angle_beta 90.00
_cell_angle_gamma 90.00
loop_
_atom_site_label
_atom_site_type_symbol
_atom_site_fract_x
_atom_site_fract_y
_atom_site_fract_z
Ga1 Ga 0.0000 0.0000 0.0000
Sb1 Sb 0.0000 0.5000 0.5000
Rh1 Rh 0.0000 0.1719 0.3994
Rh2 Rh 0.0000 0.3131 0.9064
```

Largest 6 diffraction maxima, low angle first, 2θ = 10–90°:
two_theta	d/Å	I/Imax	h k l
28.0	3.189	206	0 2 1
33.7	2.657	212	0 0 2
39.8	2.267	428	2 0 0
41.0	2.203	528	1 1 2
43.0	2.105	1000	1 3 1
74.4	1.275	190	3 3 1